Entry 1:
Calculated powder X-ray diffraction pattern of Ca2Zn4Ag3 for Cu Kα, 1.54184 Å, from a structure optimized by DFT (GGA-PBE).
No peak broadening, texture or thermal motion is included.

Principal peaks in the range 2θ = 10–90°, low angle first:
2θ = 12.9°, intensity 388
2θ = 18.1°, intensity 209
2θ = 19.7°, intensity 300
2θ = 37.6°, intensity 1000
2θ = 37.9°, intensity 196
2θ = 39.0°, intensity 263
2θ = 39.5°, intensity 372
2θ = 40.0°, intensity 553
2θ = 46.4°, intensity 227
2θ = 66.6°, intensity 241

Cell and atoms:
Lattice parameters (Å, degrees): 8.4283 7.3727 5.6199 79.64 59.37 40.99
Positions (direct):
Ca: 0.1370 0.1370 0.8630
Ca: 0.8630 0.8630 0.1370
Zn: 0.1585 0.5016 0.4984
Zn: 0.4984 0.8415 0.1585
Zn: 0.5016 0.1585 0.8415
Zn: 0.8415 0.4984 0.5016
Ag: 0.0000 0.0000 0.5000
Ag: 0.5000 0.5000 0.0000
Ag: 0.5000 0.5000 0.5000

Entry 2:
Calculated powder X-ray diffraction pattern of Ca3ZnAg3 for Cu Kα, 1.54184 Å, from a structure optimized by DFT (GGA-PBE).
No peak broadening, texture or thermal motion is included.

Principal peaks in the range 2θ = 10–90°, low angle first:
2θ = 15.9°, intensity 408
2θ = 21.7°, intensity 839
2θ = 30.5°, intensity 366
2θ = 30.8°, intensity 746
2θ = 31.5°, intensity 319
2θ = 35.5°, intensity 502
2θ = 37.4°, intensity 319
2θ = 37.8°, intensity 362
2θ = 38.0°, intensity 1000
2θ = 40.6°, intensity 559

Cell and atoms:
Lattice parameters (Å, degrees): 5.9930 5.9930 15.3296 108.13 108.13 43.50
Positions (direct):
Ca: 0.0321 0.0321 0.3875
Ca: 0.1045 0.1045 0.9218
Ca: 0.2463 0.2463 0.2340
Ca: 0.7537 0.7537 0.7660
Ca: 0.8955 0.8955 0.0782
Ca: 0.9679 0.9679 0.6125
Zn: 0.2608 0.2608 0.6051
Zn: 0.7392 0.7392 0.3949
Ag: 0.3634 0.3634 0.4574
Ag: 0.3874 0.3874 0.9216
Ag: 0.4648 0.4648 0.7629
Ag: 0.5352 0.5352 0.2371
Ag: 0.6126 0.6126 0.0784
Ag: 0.6367 0.6367 0.5426

Entry 3:
Calculated powder X-ray diffraction pattern of Cd4Ag3 for Cu Kα, 1.54184 Å, from a structure optimized by DFT (GGA-PBE).
No peak broadening, texture or thermal motion is included.

Principal peaks in the range 2θ = 10–90°, low angle first:
2θ = 36.1°, intensity 1000
2θ = 36.5°, intensity 977
2θ = 41.4°, intensity 678
2θ = 43.8°, intensity 288
2θ = 59.5°, intensity 109
2θ = 61.8°, intensity 391
2θ = 71.8°, intensity 243
2θ = 72.5°, intensity 240
2θ = 75.5°, intensity 107
2θ = 75.7°, intensity 107

Cell and atoms:
Lattice parameters (Å, degrees): 3.0626 4.1336 21.7652 90.00 90.00 90.00
Positions (direct):
Cd: 0.0000 0.0000 0.0705
Cd: 0.0000 0.0000 0.2118
Cd: 0.0000 0.0000 0.7882
Cd: 0.0000 0.0000 0.9295
Cd: 0.5000 0.5000 0.2882
Cd: 0.5000 0.5000 0.4295
Cd: 0.5000 0.5000 0.5705
Cd: 0.5000 0.5000 0.7118
Ag: 0.0000 0.0000 0.3588
Ag: 0.0000 0.0000 0.5000
Ag: 0.0000 0.0000 0.6412
Ag: 0.5000 0.5000 0.0000
Ag: 0.5000 0.5000 0.1412
Ag: 0.5000 0.5000 0.8588

Entry 4:
Calculated powder X-ray diffraction pattern of CdAg8 for Cu Kα, 1.54184 Å, from a structure optimized by DFT (GGA-PBE).
No peak broadening, texture or thermal motion is included.

Principal peaks in the range 2θ = 10–90°, low angle first:
2θ = 37.3°, intensity 1000
2θ = 42.8°, intensity 335
2θ = 44.5°, intensity 150
2θ = 62.1°, intensity 104
2θ = 63.4°, intensity 196
2θ = 74.7°, intensity 239
2θ = 77.1°, intensity 110
2θ = 79.5°, intensity 101

Cell and atoms:
Lattice parameters (Å, degrees): 6.6592 6.6592 6.6592 95.37 95.37 144.36
Positions (direct):
Cd: 0.0000 0.0000 0.0000
Ag: 0.0000 0.3348 0.3348
Ag: 0.0000 0.6652 0.6652
Ag: 0.3320 0.3320 0.6639
Ag: 0.3320 0.6680 0.0000
Ag: 0.3348 0.0000 0.3348
Ag: 0.6652 0.0000 0.6652
Ag: 0.6680 0.3320 0.0000
Ag: 0.6680 0.6680 0.3361